[1]
Simulated powder diffractogram
Compound: Mn2CuO4
Radiation: Cu Kα
Structure: a PBE+U-relaxed structure
Lines closer than 0.1° are merged.

Structural model:
Cell: 5.884 5.913 6.068 Å, 119.03 118.65 90.26°
Space group P-1 (No. 2)
Inequivalent atoms, fractional coordinates:
Mn (0.000, 0.000, 0.000) [1 per cell]
Mn (0.000, 0.000, 0.500) [1 per cell]
Mn (0.000, 0.500, 0.000) [1 per cell]
Mn (0.500, 0.000, 0.500) [1 per cell]
Cu (0.372, 0.623, 0.746) [2 per cell]
O (0.218, 0.251, 0.001) [2 per cell]
O (0.239, 0.764, 0.478) [2 per cell]
O (0.240, 0.214, 0.480) [2 per cell]
O (0.246, 0.763, 0.025) [2 per cell]

Top 10 peaks for 5 to 70 degrees two-theta, by angle:
hkl  Position (°2θ)  I (rel.)
1 1 0  29.38  40
1 1 -2  29.47  40
0 1 -2  33.94  89
1 0 -2  34.04  32
2 -1 0  35.42  77
2 1 -1  35.54  100
0 1 -3  54.04  26
2 -2 2  60.85  24
2 2 0  61.05  48
2 2 -4  61.22  24



[2]
Simulated powder diffractogram
Compound: Na3Ni2P2C2O14
Radiation: Cu Kα
Structure: a PBE+U-relaxed structure
Lines closer than 0.1° are merged.

Structural model:
Cell: 8.802 6.500 10.272 Å, 90.00 91.63 90.00°
Space group P2_1 (No. 4)
Inequivalent atoms, fractional coordinates:
Na (0.244, 0.000, 0.122) [2 per cell]
Na (0.244, 0.457, 0.627) [2 per cell]
Na (0.244, 0.984, 0.624) [2 per cell]
Ni (0.157, 0.717, 0.388) [2 per cell]
Ni (0.157, 0.717, 0.893) [2 per cell]
P (0.075, 0.221, 0.860) [2 per cell]
P (0.077, 0.220, 0.360) [2 per cell]
C (0.428, 0.721, 0.356) [2 per cell]
C (0.430, 0.725, 0.857) [2 per cell]
O (0.034, 0.214, 0.212) [2 per cell]
O (0.037, 0.218, 0.710) [2 per cell]
O (0.074, 0.729, 0.067) [2 per cell]
O (0.075, 0.719, 0.566) [2 per cell]
O (0.176, 0.034, 0.895) [2 per cell]
O (0.176, 0.406, 0.399) [2 per cell]
O (0.178, 0.033, 0.396) [2 per cell]
O (0.180, 0.407, 0.887) [2 per cell]
O (0.326, 0.723, 0.763) [2 per cell]
O (0.327, 0.723, 0.262) [2 per cell]
O (0.367, 0.718, 0.470) [2 per cell]
O (0.373, 0.727, 0.971) [2 per cell]
O (0.431, 0.221, 0.660) [2 per cell]
O (0.432, 0.225, 0.164) [2 per cell]

Top 10 peaks for 5 to 70 degrees two-theta, by angle:
hkl  Position (°2θ)  I (rel.)
1 0 0  10.05  100
1 1 0  16.96  41
1 0 2  20.26  24
0 1 2  22.06  23
2 0 -2  26.30  27
0 2 0  27.45  38
1 2 -2  34.06  15
1 2 2  34.34  28
0 0 4  34.95  21
3 1 2  38.37  21



[3]
Simulated powder diffractogram
Compound: Li9Mn2Co5O16
Radiation: Cu Kα
Structure: a PBE+U-relaxed structure
Lines closer than 0.1° are merged.

Structural model:
Cell: 4.976 5.879 10.240 Å, 106.16 100.23 90.37°
Space group P1 (No. 1)
Inequivalent atoms, fractional coordinates:
Li (0.000, 0.000, 0.000) [1 per cell]
Li (0.000, 0.007, 0.505) [1 per cell]
Li (0.002, 0.513, 0.000) [1 per cell]
Li (0.508, 0.251, 0.001) [1 per cell]
Li (0.509, 0.750, 0.508) [1 per cell]
Li (0.511, 0.267, 0.505) [1 per cell]
Li (0.514, 0.758, 0.999) [1 per cell]
Li (0.756, 0.636, 0.753) [1 per cell]
Li (0.998, 0.510, 0.506) [1 per cell]
Mn (0.256, 0.392, 0.753) [1 per cell]
Mn (0.755, 0.126, 0.753) [1 per cell]
Co (0.251, 0.882, 0.250) [1 per cell]
Co (0.255, 0.880, 0.753) [1 per cell]
Co (0.260, 0.383, 0.256) [1 per cell]
Co (0.755, 0.132, 0.253) [1 per cell]
Co (0.755, 0.632, 0.253) [1 per cell]
O (0.113, 0.188, 0.367) [1 per cell]
O (0.116, 0.692, 0.370) [1 per cell]
O (0.125, 0.185, 0.862) [1 per cell]
O (0.155, 0.685, 0.864) [1 per cell]
O (0.356, 0.577, 0.642) [1 per cell]
O (0.387, 0.079, 0.644) [1 per cell]
O (0.395, 0.572, 0.137) [1 per cell]
O (0.397, 0.076, 0.139) [1 per cell]
O (0.613, 0.451, 0.376) [1 per cell]
O (0.620, 0.420, 0.864) [1 per cell]
O (0.622, 0.949, 0.364) [1 per cell]
O (0.623, 0.952, 0.864) [1 per cell]
O (0.887, 0.843, 0.642) [1 per cell]
O (0.888, 0.315, 0.142) [1 per cell]
O (0.892, 0.311, 0.642) [1 per cell]
O (0.898, 0.813, 0.130) [1 per cell]

Top 10 peaks for 5 to 70 degrees two-theta, by angle:
hkl  Position (°2θ)  I (rel.)
0 0 1  9.15  10
0 0 2  18.36  100
1 -2 0  35.83  15
1 2 -2  36.11  14
2 0 0  36.77  12
-1 2 2  43.19  28
1 2 -4  43.66  27
2 0 2  44.56  26
2 0 -6  62.91  8
0 4 -2  63.27  15



[4]
Simulated powder diffractogram
Compound: MgMn6O7F5
Radiation: Cu Kα
Structure: a PBE+U-relaxed structure
Lines closer than 0.1° are merged.

Structural model:
Cell: 4.961 5.677 7.877 Å, 92.98 91.53 91.54°
Space group P1 (No. 1)
Inequivalent atoms, fractional coordinates:
Mg (0.000, 0.000, 0.000) [1 per cell]
Mn (0.015, 0.625, 0.194) [1 per cell]
Mn (0.067, 0.402, 0.794) [1 per cell]
Mn (0.480, 0.830, 0.826) [1 per cell]
Mn (0.487, 0.137, 0.181) [1 per cell]
Mn (0.552, 0.467, 0.509) [1 per cell]
Mn (0.994, 0.993, 0.484) [1 per cell]
O (0.151, 0.663, 0.959) [1 per cell]
O (0.162, 0.953, 0.241) [1 per cell]
O (0.203, 0.280, 0.583) [1 per cell]
O (0.333, 0.158, 0.942) [1 per cell]
O (0.688, 0.161, 0.403) [1 per cell]
O (0.706, 0.532, 0.729) [1 per cell]
O (0.826, 0.679, 0.406) [1 per cell]
F (0.289, 0.791, 0.590) [1 per cell]
F (0.356, 0.465, 0.280) [1 per cell]
F (0.678, 0.830, 0.073) [1 per cell]
F (0.835, 0.312, 0.091) [1 per cell]
F (0.839, 0.030, 0.769) [1 per cell]

Top 10 peaks for 5 to 70 degrees two-theta, by angle:
hkl  Position (°2θ)  I (rel.)
1 -1 1  25.99  100
1 1 -1  26.17  92
-1 1 2  33.08  48
0 2 1  34.23  92
2 0 0  36.25  19
1 -3 0  51.27  21
1 1 -4  51.47  25
1 -1 4  52.14  23
2 -2 2  53.45  19
0 2 4  58.55  26



[5]
Simulated powder diffractogram
Compound: Fe3Ni2SbP6O24
Radiation: Cu Kα
Structure: a PBE+U-relaxed structure
Lines closer than 0.1° are merged.

Structural model:
Cell: 8.6347 8.6347 20.6736 Å, 90.00 90.00 120.00°
Space group R3 (No. 146, hexagonal axes)
Inequivalent atoms, fractional coordinates:
Fe (0.0000, 0.0000, 0.0000) [3 per cell]
Fe (0.0000, 0.0000, 0.2100) [3 per cell]
Fe (0.0000, 0.0000, 0.4978) [3 per cell]
Ni (0.0000, 0.0000, 0.3542) [3 per cell]
Ni (0.0000, 0.0000, 0.8610) [3 per cell]
Sb (0.0000, 0.0000, 0.7119) [3 per cell]
P (0.0044, 0.7079, 0.1037) [9 per cell]
P (0.0358, 0.3668, 0.2697) [9 per cell]
O (0.0020, 0.2011, 0.6673) [9 per cell]
O (0.0015, 0.8012, 0.1654) [9 per cell]
O (0.0156, 0.1805, 0.2798) [9 per cell]
O (0.0158, 0.8372, 0.7788) [9 per cell]
O (0.1395, 0.6758, 0.7093) [9 per cell]
O (0.1435, 0.4679, 0.2112) [9 per cell]
O (0.1659, 0.6788, 0.0956) [9 per cell]
O (0.1673, 0.4841, 0.5970) [9 per cell]

Top 10 peaks for 5 to 70 degrees two-theta, by angle:
hkl  Position (°2θ)  I (rel.)
1 1 0  20.57  100
1 0 4  20.89  18
1 1 3  24.33  76
2 -1 6  33.27  69
3 0 0  36.03  42
1 2 8  47.68  30
2 2 6  49.85  27
4 1 0  56.38  25
3 1 8  56.93  15
5 -1 6  63.03  22



[6]
Simulated powder diffractogram
Compound: Li2V3SnO8
Radiation: Cu Kα
Structure: a PBE+U-relaxed structure
Lines closer than 0.1° are merged.

Structural model:
Cell: 6.027 6.027 10.516 Å, 73.52 73.44 60.53°
Space group P1 (No. 1)
Inequivalent atoms, fractional coordinates:
Li (0.000, 0.000, 0.000) [1 per cell]
Li (0.064, 0.064, 0.301) [1 per cell]
Li (0.487, 0.510, 0.500) [1 per cell]
Li (0.552, 0.575, 0.801) [1 per cell]
V (0.057, 0.584, 0.304) [1 per cell]
V (0.070, 0.568, 0.803) [1 per cell]
V (0.325, 0.325, 0.038) [1 per cell]
V (0.549, 0.086, 0.803) [1 per cell]
V (0.575, 0.060, 0.303) [1 per cell]
V (0.812, 0.833, 0.538) [1 per cell]
Sn (0.128, 0.148, 0.610) [1 per cell]
Sn (0.640, 0.640, 0.110) [1 per cell]
O (0.146, 0.694, 0.436) [1 per cell]
O (0.181, 0.656, 0.936) [1 per cell]
O (0.197, 0.214, 0.929) [1 per cell]
O (0.199, 0.206, 0.410) [1 per cell]
O (0.416, 0.430, 0.699) [1 per cell]
O (0.427, 0.973, 0.180) [1 per cell]
O (0.432, 0.436, 0.177) [1 per cell]
O (0.461, 0.936, 0.680) [1 per cell]
O (0.646, 0.196, 0.939) [1 per cell]
O (0.686, 0.155, 0.439) [1 per cell]
O (0.694, 0.710, 0.910) [1 per cell]
O (0.700, 0.706, 0.430) [1 per cell]
O (0.917, 0.484, 0.679) [1 per cell]
O (0.919, 0.930, 0.198) [1 per cell]
O (0.922, 0.942, 0.677) [1 per cell]
O (0.974, 0.429, 0.180) [1 per cell]

Top 10 peaks for 5 to 70 degrees two-theta, by angle:
hkl  Position (°2θ)  I (rel.)
0 0 2  17.90  47
1 1 0  18.05  51
1 0 -1  20.70  77
1 1 2  20.83  36
1 1 -2  29.45  45
1 2 1  29.65  53
-1 1 2  34.62  100
1 1 4  34.73  80
1 2 3  34.83  43
2 -2 0  61.03  46